Entry 1:
This entry pairs a crystal structure of Tb6Er5Tm2 with its calculated XRD peak list. Radiation: CuKα. Structure: a crystal structure in Alexandria, relaxed with GGA-PBE.
Intensities are scaled so that the largest is 100.

Structural model:
Cell lengths 11.5114, 20.0551, 3.5491 Å; angles 90.00, 90.00, 90.00 degrees
Fractional positions:
Tb (0.0591, 0.0810, 0.0000)
Tb (0.0838, 0.3680, 0.0000)
Tb (0.1715, 0.6359, 0.5000)
Tb (0.3285, 0.1359, 0.5000)
Tb (0.4162, 0.8680, 0.0000)
Tb (0.4409, 0.5810, 0.0000)
Tb (0.5591, 0.4190, 0.0000)
Tb (0.5838, 0.1320, 0.0000)
Tb (0.6715, 0.8641, 0.5000)
Tb (0.8285, 0.3641, 0.5000)
Tb (0.9162, 0.6320, 0.0000)
Tb (0.9409, 0.9190, 0.0000)
Er (0.0000, 0.5000, 0.5000)
Er (0.0912, 0.2268, 0.5000)
Er (0.1982, 0.9482, 0.5000)
Er (0.3018, 0.4482, 0.5000)
Er (0.4088, 0.7268, 0.5000)
Er (0.5000, 0.0000, 0.5000)
Er (0.5912, 0.2732, 0.5000)
Er (0.6982, 0.5518, 0.5000)
Er (0.8018, 0.0518, 0.5000)
Er (0.9088, 0.7732, 0.5000)
Tm (0.1658, 0.7904, 0.0000)
Tm (0.3342, 0.2904, 0.0000)
Tm (0.6658, 0.7096, 0.0000)
Tm (0.8342, 0.2096, 0.0000)

Main lines, in order of rising 2θ (2θ = 15–90°):
Position (°2θ)	intensity
27.78	28.0
30.89	24.1
31.40	56.9
31.86	55.5
32.22	82.9
32.52	100.0
34.67	36.1
35.62	20.6
37.03	33.5
51.49	23.0
61.57	18.2
62.06	27.3

***

Entry 2:
This entry pairs a crystal structure of Tb12BiRu5 with its calculated XRD peak list. Radiation: CuKα. Structure: a crystal structure in Alexandria, relaxed with GGA-PBE.
Intensities are scaled so that the largest is 100.

Structural model:
Cell lengths 8.4773, 8.4773, 8.4773 Å; angles 112.61, 110.45, 105.43 degrees
Fractional positions:
Tb (0.0364, 0.2295, 0.8069)
Tb (0.1755, 0.2706, 0.4461)
Tb (0.1755, 0.7294, 0.9049)
Tb (0.3260, 0.0102, 0.6843)
Tb (0.3260, 0.6417, 0.3157)
Tb (0.4225, 0.2295, 0.1931)
Tb (0.5775, 0.7705, 0.8069)
Tb (0.6740, 0.3583, 0.6843)
Tb (0.6740, 0.9898, 0.3157)
Tb (0.8245, 0.2706, 0.0951)
Tb (0.8245, 0.7294, 0.5539)
Tb (0.9636, 0.7705, 0.1931)
Bi (0.5000, 0.5000, 0.0000)
Ru (0.0000, 0.0000, 0.0000)
Ru (0.1221, 0.6221, 0.5000)
Ru (0.3354, 0.0000, 0.3354)
Ru (0.6646, 0.0000, 0.6646)
Ru (0.8779, 0.3779, 0.5000)

Main lines, in order of rising 2θ (2θ = 15–90°):
Position (°2θ)	intensity
29.03	20.1
29.96	29.7
31.75	100.0
33.68	65.8
34.20	80.2
34.85	48.1
35.22	31.4
38.28	31.8
52.82	29.9
55.82	19.4
58.19	22.1
59.69	30.3

***

Entry 3:
This entry pairs a crystal structure of CaPa2PN5 with its calculated XRD peak list. Radiation: CuKα. Structure: a crystal structure in Alexandria, relaxed with GGA-PBE.
Intensities are scaled so that the largest is 100.

Structural model:
Cell lengths 6.6231, 6.6231, 5.4034 Å; angles 90.00, 90.00, 90.00 degrees
Fractional positions:
Ca (0.0000, 0.0000, 0.0000)
Ca (0.5000, 0.5000, 0.0000)
Pa (0.1813, 0.3187, 0.5000)
Pa (0.3187, 0.8187, 0.5000)
Pa (0.6813, 0.1813, 0.5000)
Pa (0.8187, 0.6813, 0.5000)
P (0.0000, 0.5000, 0.0000)
P (0.5000, 0.0000, 0.0000)
N (0.0000, 0.0000, 0.5000)
N (0.1334, 0.6334, 0.2343)
N (0.1334, 0.6334, 0.7657)
N (0.3666, 0.1334, 0.2343)
N (0.3666, 0.1334, 0.7657)
N (0.5000, 0.5000, 0.5000)
N (0.6334, 0.8666, 0.2343)
N (0.6334, 0.8666, 0.7657)
N (0.8666, 0.3666, 0.2343)
N (0.8666, 0.3666, 0.7657)

Main lines, in order of rising 2θ (2θ = 15–90°):
Position (°2θ)	intensity
16.41	100.0
26.92	18.9
30.17	47.1
31.69	71.6
33.16	30.0
34.53	91.5
43.20	24.1
45.44	52.2
57.36	17.7
60.10	49.6
67.88	22.9
80.03	17.4

***

Entry 4:
This entry pairs a crystal structure of La4TlSn2 with its calculated XRD peak list. Radiation: CuKα. Structure: a crystal structure in Alexandria, relaxed with GGA-PBE.
Intensities are scaled so that the largest is 100.

Structural model:
Cell lengths 6.0852, 6.8524, 11.0795 Å; angles 90.00, 101.48, 90.00 degrees
Fractional positions:
La (0.1539, 0.2500, 0.1241)
La (0.2530, 0.7500, 0.4557)
La (0.3173, 0.0195, 0.7382)
La (0.3173, 0.4805, 0.7382)
La (0.6827, 0.5195, 0.2618)
La (0.6827, 0.9805, 0.2618)
La (0.7470, 0.2500, 0.5443)
La (0.8461, 0.7500, 0.8759)
Tl (0.1089, 0.7500, 0.1717)
Tl (0.8911, 0.2500, 0.8283)
Sn (0.2099, 0.2500, 0.4334)
Sn (0.4038, 0.7500, 0.9992)
Sn (0.5962, 0.2500, 0.0008)
Sn (0.7901, 0.7500, 0.5666)

Main lines, in order of rising 2θ (2θ = 15–90°):
Position (°2θ)	intensity
26.01	43.4
29.44	90.6
30.40	75.9
30.86	62.4
31.36	100.0
32.01	69.0
33.44	68.1
33.91	29.7
44.10	28.5
45.93	36.0
53.49	27.5
63.32	30.1